For Ac3In3Pb, DFT lattice parameters and positions (GGA-PBE) gives the simulated X-ray diffraction stick pattern in this record (Cu Kα (λ = 1.5418 Å)).
Lines closer than 0.1° are merged.

Atomic structure:
a = 12.5885 Å, b = 4.9971 Å, c = 16.2120 Å
α = 90.00°, β = 107.67°, γ = 90.00°
Space group C2/m (No. 12)
One atom of each set of equivalent atoms:
Ac  0.0091  0.0000  0.3767
Ac  0.1141  0.0000  0.9282
Ac  0.2258  0.0000  0.2240
In  0.0019  0.5000  0.7800
In  0.1028  0.5000  0.0762
In  0.1363  0.5000  0.5440
Pb  0.2176  0.5000  0.3781

The 12 most intense peaks (2θ = 15–90°), most intense first:
27.42 deg, rel. 100
28.36 deg, rel. 82
33.41 deg, rel. 73
35.94 deg, rel. 70
27.78 deg, rel. 68
32.32 deg, rel. 57
28.51 deg, rel. 50
34.82 deg, rel. 42
54.23 deg, rel. 29
50.91 deg, rel. 29
46.51 deg, rel. 27
40.90 deg, rel. 26